Structure and computed XRD peak list of NbS2 (a structure optimized by DFT (GGA-PBE); CuKα).
No peak broadening, texture or thermal motion is included.

Top 6 peaks for 10 to 90 degrees two-theta, by angle:
2θ = 13.2°, I = 100; 2θ = 35.5°, I = 48; 2θ = 41.7°, I = 24; 2θ = 43.9°, I = 18; 2θ = 45.0°, I = 36; 2θ = 78.4°, I = 13

Structure:
Lattice parameters (Å, degrees): 7.035 7.035 7.035 154.83 154.83 35.89
Element x y z (fractional)
1 Nb 0.000 0.000 0.000
2 S 0.389 0.389 0.000
3 S 0.611 0.611 0.000